The following is a computed powder diffractogram of Cr3SbS. It was derived from a PBE-relaxed structure, using λ = 1.5418 Å (Cu Kα).

The 8 most intense peaks (2θ = 10–90°), in order of rising 2θ:
Position (°2θ)	d/Å	I_rel
29.89	2.990	42.4
36.82	2.441	100.0
42.77	2.114	76.2
53.05	1.726	16.7
62.09	1.495	46.4
74.42	1.275	33.2
78.34	1.221	15.2
86.03	1.130	9.2

Cell and atoms:
a b c (Å): 4.2282 4.2282 4.2282
angles (deg): 90.00 90.00 90.00
Space group Pm-3m (No. 221)
Unique sites:
Cr 0.0000 0.0000 0.5000 [3 per cell]
Sb 0.5000 0.5000 0.5000 [1 per cell]
S 0.0000 0.0000 0.0000 [1 per cell]